(1)
Calculated X-ray powder pattern of Cs2HgIrF6 for Cu Ka, from a crystal structure in the Materials Project, relaxed with PBE.

Crystal structure
a = 6.813 Å, b = 6.813 Å, c = 6.813 Å
α = 60.00°, β = 60.00°, γ = 60.00°
Positions (direct):
Cs1 0.250 0.250 0.250
Cs2 0.750 0.750 0.750
Hg1 0.000 0.000 0.000
Ir1 0.500 0.500 0.500
F1 0.295 0.295 0.705
F2 0.295 0.705 0.295
F3 0.295 0.705 0.705
F4 0.705 0.295 0.295
F5 0.705 0.295 0.705
F6 0.705 0.705 0.295

The 10 most intense peaks (10 to 90 degrees two-theta), in order of falling intensity:
- 2θ = 26.16°, I 100
- 2θ = 46.15°, I 41
- 2θ = 37.33°, I 28
- 2θ = 73.56°, I 24
- 2θ = 60.80°, I 22
- 2θ = 53.82°, I 18
- 2θ = 85.51°, I 12
- 2θ = 18.42°, I 9
- 2θ = 67.33°, I 6
- 2θ = 41.93°, I 4

(2)
Calculated X-ray powder pattern of Ga2O3 for Cu Ka, from a crystal structure in the Materials Project, relaxed with PBE.

Crystal structure
a = 5.911 Å, b = 5.949 Å, c = 14.623 Å
α = 88.73°, β = 87.98°, γ = 61.99°
Positions (direct):
Ga1 0.000 0.000 0.000
Ga2 0.002 0.477 0.134
Ga3 0.006 0.514 0.876
Ga4 0.125 0.617 0.471
Ga5 0.168 0.148 0.351
Ga6 0.312 0.814 0.795
Ga7 0.317 0.326 0.676
Ga8 0.363 0.864 0.572
Ga9 0.473 0.503 0.975
Ga10 0.479 0.990 0.128
Ga11 0.506 0.474 0.161
Ga12 0.618 0.609 0.355
Ga13 0.659 0.162 0.480
Ga14 0.663 0.145 0.833
Ga15 0.828 0.811 0.673
Ga16 0.858 0.887 0.286
O1 0.001 0.506 0.752
O2 0.041 0.040 0.256
O3 0.152 0.153 0.085
O4 0.167 0.191 0.597
O5 0.172 0.671 0.591
O6 0.201 0.632 0.087
O7 0.317 0.830 0.928
O8 0.320 0.819 0.431
O9 0.331 0.302 0.422
O10 0.343 0.315 0.920
O11 0.470 0.487 0.278
O12 0.481 0.469 0.761
O13 0.499 0.992 0.759
O14 0.512 0.979 0.258
O15 0.651 0.147 0.602
O16 0.658 0.171 0.089
O17 0.661 0.646 0.093
O18 0.694 0.666 0.592
O19 0.815 0.832 0.415
O20 0.820 0.325 0.928
O21 0.837 0.318 0.421
O22 0.838 0.846 0.930
O23 0.961 0.535 0.261
O24 0.972 0.976 0.759

The 10 most intense peaks (10 to 90 degrees two-theta), in order of falling intensity:
- 2θ = 34.89°, I 100
- 2θ = 30.61°, I 60
- 2θ = 34.46°, I 49
- 2θ = 34.74°, I 47
- 2θ = 35.67°, I 44
- 2θ = 35.12°, I 29
- 2θ = 60.66°, I 27
- 2θ = 30.28°, I 22
- 2θ = 61.11°, I 20
- 2θ = 61.67°, I 18

(3)
Calculated X-ray powder pattern of Pu3Ga for Cu Ka, from a crystal structure in the Materials Project, relaxed with PBE.

Crystal structure
a = 4.132 Å, b = 4.132 Å, c = 4.132 Å
α = 90.00°, β = 90.00°, γ = 90.00°
Positions (direct):
Pu1 0.000 0.000 0.500
Pu2 0.000 0.500 0.000
Pu3 0.500 0.000 0.000
Ga1 0.500 0.500 0.500

The 10 most intense peaks (10 to 90 degrees two-theta), in order of falling intensity:
- 2θ = 37.71°, I 100
- 2θ = 43.82°, I 50
- 2θ = 76.47°, I 40
- 2θ = 63.71°, I 33
- 2θ = 21.51°, I 13
- 2θ = 80.54°, I 12
- 2θ = 30.60°, I 11
- 2θ = 49.32°, I 6
- 2θ = 54.40°, I 5
- 2θ = 68.08°, I 3

(4)
Calculated X-ray powder pattern of MgO for Cu Ka, from a crystal structure in the Materials Project, relaxed with PBE.

Crystal structure
a = 8.734 Å, b = 8.734 Å, c = 5.680 Å
α = 90.23°, β = 90.23°, γ = 59.93°
Positions (direct):
Mg1 0.038 0.830 0.575
Mg2 0.059 0.616 0.077
Mg3 0.170 0.962 0.925
Mg4 0.177 0.381 0.577
Mg5 0.381 0.177 0.077
Mg6 0.384 0.941 0.423
Mg7 0.616 0.059 0.577
Mg8 0.619 0.823 0.923
Mg9 0.823 0.619 0.423
Mg10 0.830 0.038 0.075
Mg11 0.941 0.384 0.923
Mg12 0.962 0.170 0.425
O1 0.041 0.825 0.929
O2 0.064 0.617 0.427
O3 0.175 0.959 0.571
O4 0.182 0.379 0.927
O5 0.379 0.182 0.427
O6 0.383 0.936 0.073
O7 0.617 0.064 0.927
O8 0.621 0.818 0.573
O9 0.818 0.621 0.073
O10 0.825 0.041 0.429
O11 0.936 0.383 0.573
O12 0.959 0.175 0.071

The 10 most intense peaks (10 to 90 degrees two-theta), in order of falling intensity:
- 2θ = 11.70°, I 100
- 2θ = 31.29°, I 23
- 2θ = 28.36°, I 19
- 2θ = 31.50°, I 19
- 2θ = 55.71°, I 16
- 2θ = 20.34°, I 13
- 2θ = 41.36°, I 11
- 2θ = 35.15°, I 10
- 2θ = 58.49°, I 7
- 2θ = 33.69°, I 6

(5)
Calculated X-ray powder pattern of SiO2 for Cu Ka, from a crystal structure in the Materials Project, relaxed with PBE.

Crystal structure
a = 11.489 Å, b = 11.489 Å, c = 10.077 Å
α = 92.82°, β = 92.82°, γ = 132.38°
Positions (direct):
Si1 0.023 0.489 0.720
Si2 0.028 0.181 0.388
Si3 0.171 0.827 0.845
Si4 0.173 0.829 0.155
Si5 0.181 0.028 0.388
Si6 0.213 0.531 0.485
Si7 0.469 0.787 0.515
Si8 0.489 0.023 0.720
Si9 0.511 0.977 0.280
Si10 0.531 0.213 0.485
Si11 0.787 0.469 0.515
Si12 0.819 0.972 0.612
Si13 0.827 0.171 0.845
Si14 0.829 0.173 0.155
Si15 0.972 0.819 0.612
Si16 0.977 0.511 0.280
O1 0.039 0.644 0.179
O2 0.064 0.843 0.751
O3 0.097 0.097 0.367
O4 0.097 0.903 0.500
O5 0.115 0.655 0.812
O6 0.123 0.560 0.380
O7 0.144 0.501 0.630
O8 0.151 0.849 0.000
O9 0.157 0.936 0.249
O10 0.175 0.370 0.432
O11 0.345 0.885 0.188
O12 0.356 0.961 0.821
O13 0.369 0.631 0.000
O14 0.370 0.175 0.432
O15 0.440 0.877 0.620
O16 0.499 0.856 0.370
O17 0.501 0.144 0.630
O18 0.560 0.123 0.380
O19 0.630 0.825 0.568
O20 0.631 0.369 0.000
O21 0.644 0.039 0.179
O22 0.655 0.115 0.812
O23 0.825 0.630 0.568
O24 0.843 0.064 0.751
O25 0.849 0.151 0.000
O26 0.856 0.499 0.370
O27 0.877 0.440 0.620
O28 0.885 0.345 0.188
O29 0.903 0.097 0.500
O30 0.903 0.903 0.633
O31 0.936 0.157 0.249
O32 0.961 0.356 0.821

The 10 most intense peaks (10 to 90 degrees two-theta), in order of falling intensity:
- 2θ = 10.49°, I 100
- 2θ = 18.78°, I 71
- 2θ = 19.62°, I 51
- 2θ = 25.35°, I 43
- 2θ = 20.23°, I 32
- 2θ = 24.57°, I 29
- 2θ = 31.82°, I 25
- 2θ = 25.72°, I 19
- 2θ = 32.30°, I 19
- 2θ = 17.63°, I 19

(6)
Calculated X-ray powder pattern of Nb12N11 for Cu Ka, from a crystal structure in the Materials Project, relaxed with PBE.

Crystal structure
a = 8.322 Å, b = 8.322 Å, c = 5.419 Å
α = 90.32°, β = 90.32°, γ = 44.22°
Positions (direct):
Nb1 0.000 0.500 0.500
Nb2 0.078 0.078 0.314
Nb3 0.156 0.687 0.153
Nb4 0.250 0.250 0.004
Nb5 0.313 0.844 0.847
Nb6 0.416 0.416 0.675
Nb7 0.500 0.000 0.500
Nb8 0.584 0.584 0.325
Nb9 0.687 0.156 0.153
Nb10 0.750 0.750 0.996
Nb11 0.844 0.313 0.847
Nb12 0.922 0.922 0.686
N1 0.082 0.583 0.833
N2 0.165 0.165 0.660
N3 0.251 0.749 0.500
N4 0.338 0.338 0.331
N5 0.417 0.918 0.167
N6 0.500 0.500 0.000
N7 0.583 0.082 0.833
N8 0.662 0.662 0.669
N9 0.749 0.251 0.500
N10 0.835 0.835 0.340
N11 0.918 0.417 0.167

The 10 most intense peaks (10 to 90 degrees two-theta), in order of falling intensity:
- 2θ = 35.09°, I 100
- 2θ = 40.62°, I 73
- 2θ = 40.82°, I 36
- 2θ = 34.91°, I 34
- 2θ = 59.02°, I 33
- 2θ = 58.87°, I 23
- 2θ = 70.44°, I 21
- 2θ = 58.61°, I 12
- 2θ = 74.21°, I 11
- 2θ = 70.11°, I 9

(7)
Calculated X-ray powder pattern of Ce2Dy2O7 for Cu Ka, from a crystal structure in the Materials Project, relaxed with PBE.

Crystal structure
a = 3.845 Å, b = 3.845 Å, c = 10.879 Å
α = 90.00°, β = 90.00°, γ = 90.00°
Positions (direct):
Ce1 0.000 0.500 0.126
Ce2 0.500 0.000 0.874
Dy1 0.000 0.500 0.640
Dy2 0.500 0.000 0.360
O1 0.000 0.000 0.000
O2 0.000 0.000 0.266
O3 0.000 0.000 0.734
O4 0.500 0.500 0.000
O5 0.500 0.500 0.241
O6 0.500 0.500 0.500
O7 0.500 0.500 0.759

The 10 most intense peaks (10 to 90 degrees two-theta), in order of falling intensity:
- 2θ = 28.42°, I 100
- 2θ = 47.27°, I 50
- 2θ = 56.08°, I 43
- 2θ = 32.94°, I 32
- 2θ = 76.32°, I 16
- 2θ = 87.96°, I 14
- 2θ = 78.68°, I 11
- 2θ = 58.82°, I 9
- 2θ = 69.08°, I 7
- 2θ = 24.55°, I 2